Record 1
For Cd3GaAg5, the PBE geometry in Alexandria gives the calculated powder diffractogram in this record (Cu Kα (weighted mean of Kα1 and Kα2)).
Peak positions follow from Bragg's law for the DFT cell and can differ from measured ones.

Largest 8 diffraction maxima, low angle first, 2θ = 10–80°:
2theta	I/Imax
31.74	62
33.99	100
35.60	44
38.04	96
41.55	27
46.27	20
47.65	20
52.78	20

Structural model:
```
Cd3GaAg5
1.0
-3.9872 3.9872 5.8776
3.9872 -3.9872 5.8776
3.9872 3.9872 -5.8776
Cd Ga Ag
6 2 10
Cartesian
4.9369 0.9497 0.0000 Cd
0.0000 0.0000 2.9388 Cd
0.9497 3.0374 0.0000 Cd
3.0374 0.9497 5.8776 Cd
0.0000 0.0000 8.8164 Cd
-0.9497 3.0374 5.8776 Cd
3.9872 0.0000 2.9388 Ga
0.0000 3.9872 2.9388 Ga
0.0000 0.0000 0.0000 Ag
2.4369 1.5503 -1.6445 Ag
2.4369 -1.5503 4.2331 Ag
2.4369 1.5503 1.6445 Ag
2.4369 -1.5503 7.5221 Ag
0.0000 0.0000 5.8776 Ag
1.5503 5.5375 -1.6445 Ag
1.5503 2.4369 4.2331 Ag
1.5503 5.5375 1.6445 Ag
1.5503 2.4369 7.5221 Ag
```

---

Record 2
For Cd7Ga2Ag2, the PBE geometry in Alexandria gives the calculated powder diffractogram in this record (Cu Kα (weighted mean of Kα1 and Kα2)).
Peak positions follow from Bragg's law for the DFT cell and can differ from measured ones.

Largest 8 diffraction maxima, low angle first, 2θ = 10–80°:
2theta	I/Imax
31.69	43
35.87	68
36.72	100
37.23	93
37.75	82
38.15	75
39.20	59
65.16	59

Structural model:
```
Cd7Ga2Ag2
1.0
3.8261 -4.2945 0.0000
3.8261 4.2945 0.0000
-1.3845 0.0000 7.0769
Cd Ga Ag
7 2 2
Cartesian
0.0000 0.0000 0.0000 Cd
1.0732 1.6365 5.7047 Cd
0.6154 0.0000 3.0035 Cd
1.0732 -1.6365 5.7047 Cd
5.1945 1.6365 1.3722 Cd
5.6523 0.0000 4.0734 Cd
5.1945 -1.6365 1.3722 Cd
3.1338 1.5335 3.5384 Ga
3.1338 -1.5335 3.5384 Ga
2.7567 0.0000 1.0636 Ag
3.5109 0.0000 6.0133 Ag
```